Diffraction record for YCu8Ni2. The X-ray powder pattern is simulated, not measured: it uses a cell relaxed with PBE and Cu Kα X-rays.
Peak positions follow from Bragg's law for the DFT cell and can differ from measured ones.

Atomic structure:
Cell lengths 8.636, 8.636, 8.636 Å; angles 147.33, 147.33, 46.88 degrees
Positions (direct):
1 Y 0.000 0.000 0.000
2 Cu 0.109 0.109 0.505
3 Cu 0.109 0.605 0.000
4 Cu 0.395 0.395 0.505
5 Cu 0.395 0.891 0.000
6 Cu 0.605 0.109 0.000
7 Cu 0.605 0.605 0.495
8 Cu 0.891 0.395 0.000
9 Cu 0.891 0.891 0.495
10 Ni 0.250 0.750 0.500
11 Ni 0.750 0.250 0.500

Top 8 peaks for 2θ = 10–80°, most intense first:
| two_theta | d [Å] | Rel. int. |
| --- | --- | --- |
| 43.71 | 2.071 | 100 |
| 11.17 | 7.924 | 38 |
| 28.31 | 3.152 | 32 |
| 53.33 | 1.718 | 31 |
| 22.44 | 3.962 | 22 |
| 51.08 | 1.788 | 18 |
| 37.01 | 2.429 | 18 |
| 45.81 | 1.981 | 13 |



Diffraction record for YCu5Ni. The X-ray powder pattern is simulated, not measured: it uses a cell relaxed with PBE and Cu Kα X-rays.
Peak positions follow from Bragg's law for the DFT cell and can differ from measured ones.

Atomic structure:
Cell lengths 7.948, 5.031, 9.946 Å; angles 90.00, 90.00, 90.00 degrees
Positions (direct):
1 Y 0.241 0.250 0.067
2 Y 0.259 0.750 0.567
3 Y 0.741 0.250 0.433
4 Y 0.759 0.750 0.933
5 Cu 0.063 0.008 0.307
6 Cu 0.063 0.492 0.307
7 Cu 0.063 0.750 0.089
8 Cu 0.104 0.250 0.517
9 Cu 0.185 0.250 0.760
10 Cu 0.315 0.750 0.260
11 Cu 0.396 0.750 0.017
12 Cu 0.437 0.250 0.589
13 Cu 0.437 0.508 0.807
14 Cu 0.437 0.992 0.807
15 Cu 0.563 0.008 0.193
16 Cu 0.563 0.492 0.193
17 Cu 0.563 0.750 0.411
18 Cu 0.604 0.250 0.983
19 Cu 0.685 0.250 0.740
20 Cu 0.815 0.750 0.240
21 Cu 0.896 0.750 0.483
22 Cu 0.937 0.250 0.911
23 Cu 0.937 0.508 0.693
24 Cu 0.937 0.992 0.693
25 Ni 0.149 0.750 0.852
26 Ni 0.351 0.250 0.352
27 Ni 0.649 0.750 0.648
28 Ni 0.851 0.250 0.148

Top 8 peaks for 2θ = 10–80°, most intense first:
| two_theta | d [Å] | Rel. int. |
| --- | --- | --- |
| 46.74 | 1.944 | 100 |
| 39.50 | 2.282 | 95 |
| 39.68 | 2.271 | 77 |
| 37.92 | 2.373 | 58 |
| 43.54 | 2.079 | 44 |
| 46.61 | 1.948 | 40 |
| 35.69 | 2.516 | 35 |
| 47.10 | 1.930 | 31 |



Diffraction record for YZn6CuNi. The X-ray powder pattern is simulated, not measured: it uses a cell relaxed with PBE and Cu Kα X-rays.
Peak positions follow from Bragg's law for the DFT cell and can differ from measured ones.

Atomic structure:
Cell lengths 7.606, 7.606, 7.606 Å; angles 125.64, 112.81, 91.70 degrees
Positions (direct):
1 Y 0.439 0.189 0.250
2 Y 0.561 0.811 0.750
3 Zn 0.126 0.433 0.307
4 Zn 0.126 0.819 0.693
5 Zn 0.156 0.906 0.250
6 Zn 0.252 0.502 0.750
7 Zn 0.374 0.181 0.807
8 Zn 0.374 0.567 0.193
9 Zn 0.626 0.433 0.807
10 Zn 0.626 0.819 0.193
11 Zn 0.748 0.498 0.250
12 Zn 0.844 0.094 0.750
13 Zn 0.874 0.181 0.307
14 Zn 0.874 0.567 0.693
15 Cu 0.000 0.000 0.500
16 Cu 0.000 0.500 0.000
17 Ni 0.000 0.000 0.000
18 Ni 0.500 0.000 0.500

Top 8 peaks for 2θ = 10–80°, most intense first:
| two_theta | d [Å] | Rel. int. |
| --- | --- | --- |
| 35.61 | 2.521 | 100 |
| 42.97 | 2.105 | 84 |
| 33.44 | 2.679 | 63 |
| 48.31 | 1.884 | 47 |
| 37.87 | 2.376 | 46 |
| 40.23 | 2.242 | 37 |
| 39.84 | 2.263 | 27 |
| 45.51 | 1.993 | 25 |



Diffraction record for ZnCu3Ni4. The X-ray powder pattern is simulated, not measured: it uses a cell relaxed with PBE and Cu Kα X-rays.
Peak positions follow from Bragg's law for the DFT cell and can differ from measured ones.

Atomic structure:
Cell lengths 4.024, 4.024, 11.378 Å; angles 90.00, 90.00, 90.00 degrees
Positions (direct):
1 Zn 0.000 0.000 0.000
2 Zn 0.500 0.500 0.500
3 Cu 0.000 0.000 0.251
4 Cu 0.000 0.000 0.500
5 Cu 0.000 0.000 0.749
6 Cu 0.500 0.500 0.000
7 Cu 0.500 0.500 0.249
8 Cu 0.500 0.500 0.751
9 Ni 0.000 0.500 0.126
10 Ni 0.000 0.500 0.374
11 Ni 0.000 0.500 0.626
12 Ni 0.000 0.500 0.874
13 Ni 0.500 0.000 0.126
14 Ni 0.500 0.000 0.374
15 Ni 0.500 0.000 0.626
16 Ni 0.500 0.000 0.874

Top 2 peaks for 2θ = 10–80°, most intense first:
| two_theta | d [Å] | Rel. int. |
| --- | --- | --- |
| 45.06 | 2.012 | 100 |
| 65.63 | 1.423 | 15 |



Diffraction record for Zn3Cu6Ni2. The X-ray powder pattern is simulated, not measured: it uses a cell relaxed with PBE and Cu Kα X-rays.
Peak positions follow from Bragg's law for the DFT cell and can differ from measured ones.

Atomic structure:
Cell lengths 6.129, 6.129, 9.666 Å; angles 103.50, 103.50, 24.07 degrees
Positions (direct):
1 Zn 0.000 0.000 0.000
2 Zn 0.329 0.329 0.092
3 Zn 0.671 0.671 0.908
4 Cu 0.003 0.003 0.744
5 Cu 0.329 0.329 0.802
6 Cu 0.358 0.358 0.363
7 Cu 0.642 0.642 0.637
8 Cu 0.671 0.671 0.198
9 Cu 0.997 0.997 0.256
10 Ni 0.172 0.172 0.430
11 Ni 0.828 0.828 0.570

Top 8 peaks for 2θ = 10–80°, most intense first:
| two_theta | d [Å] | Rel. int. |
| --- | --- | --- |
| 43.37 | 2.086 | 100 |
| 42.34 | 2.135 | 100 |
| 46.83 | 1.940 | 76 |
| 44.97 | 2.016 | 70 |
| 45.29 | 2.002 | 64 |
| 52.10 | 1.755 | 42 |
| 42.16 | 2.143 | 39 |
| 35.68 | 2.517 | 31 |



Diffraction record for Zn2Cu2Ni7. The X-ray powder pattern is simulated, not measured: it uses a cell relaxed with PBE and Cu Kα X-rays.
Peak positions follow from Bragg's law for the DFT cell and can differ from measured ones.

Atomic structure:
Cell lengths 4.608, 4.608, 6.324 Å; angles 97.80, 97.80, 97.66 degrees
Positions (direct):
1 Zn 0.185 0.815 0.000
2 Zn 0.815 0.185 0.000
3 Cu 0.100 0.100 0.353
4 Cu 0.900 0.900 0.647
5 Ni 0.059 0.427 0.689
6 Ni 0.369 0.369 0.115
7 Ni 0.427 0.059 0.689
8 Ni 0.500 0.500 0.500
9 Ni 0.573 0.941 0.311
10 Ni 0.631 0.631 0.885
11 Ni 0.941 0.573 0.311

Top 8 peaks for 2θ = 10–80°, most intense first:
| two_theta | d [Å] | Rel. int. |
| --- | --- | --- |
| 45.60 | 1.989 | 100 |
| 47.10 | 1.930 | 69 |
| 45.93 | 1.976 | 61 |
| 45.40 | 1.998 | 61 |
| 46.56 | 1.951 | 59 |
| 49.72 | 1.834 | 37 |
| 44.88 | 2.020 | 30 |
| 43.89 | 2.063 | 25 |